Structure and simulated X-ray powder pattern of Na2CuAsCO7 (DFT lattice parameters and positions (PBE); Cu Kα X-rays).
Kinematic intensities with the Lorentz-polarization factor, no thermal factor.

Cell lengths 5.2911, 6.6543, 9.1986 Å; angles 90.00, 90.66, 90.00 degrees
Fractional positions:
Na: 0.2306 0.0043 0.2656
Na: 0.2306 0.4957 0.2656
Na: 0.7694 0.5043 0.7344
Na: 0.7694 0.9957 0.7344
Cu: 0.2174 0.2500 0.8505
Cu: 0.7826 0.7500 0.1495
As: 0.2965 0.7500 0.9260
As: 0.7035 0.2500 0.0740
C: 0.2730 0.2500 0.5737
C: 0.7270 0.7500 0.4263
O: 0.0592 0.2500 0.6417
O: 0.1617 0.7500 0.0943
O: 0.2063 0.5478 0.8208
O: 0.2063 0.9522 0.8208
O: 0.2830 0.2500 0.4364
O: 0.3766 0.2500 0.0520
O: 0.4722 0.2500 0.6580
O: 0.5278 0.7500 0.3420
O: 0.6234 0.7500 0.9480
O: 0.7170 0.7500 0.5636
O: 0.7937 0.0478 0.1792
O: 0.7937 0.4522 0.1792
O: 0.8383 0.2500 0.9057
O: 0.9408 0.7500 0.3583

Peak list (8 most intense, 5 to 70 degrees two-theta, low angle first)
2theta  Rel. int.
9.62  100
23.64  21
25.52  29
26.79  26
28.53  12
29.15  11
33.22  29
33.90  24